# 1
Diffraction record for Pm5HoAg6. The PXRD pattern is simulated, not measured: it uses a crystal structure in Alexandria, relaxed with PBE and Cu Ka.
Peak positions follow from Bragg's law for the DFT cell and can differ from measured ones.

Largest 8 diffraction maxima, low angle first, 2θ from 15° to 90°:
Position (°2θ)  I (rel.)
33.96  100
34.18  98
34.30  97
48.60  18
48.97  17
60.83  36
61.07  35
61.49  35

Crystal structure
abc: 5.276 7.350 8.336
angles: 90.00 108.04 90.00
Sites, in units of the cell vectors:
Pm (0.000, 0.000, 0.000)
Pm (0.332, 0.000, 0.664)
Pm (0.334, 0.500, 0.668)
Pm (0.666, 0.500, 0.332)
Pm (0.668, 0.000, 0.336)
Ho (0.000, 0.500, 0.000)
Ag (0.163, 0.255, 0.326)
Ag (0.163, 0.745, 0.326)
Ag (0.500, 0.257, 0.000)
Ag (0.500, 0.743, 0.000)
Ag (0.837, 0.255, 0.674)
Ag (0.837, 0.745, 0.674)


# 2
Diffraction record for CaIn4Hg8. The PXRD pattern is simulated, not measured: it uses a crystal structure in Alexandria, relaxed with PBE and Cu Ka.
Peak positions follow from Bragg's law for the DFT cell and can differ from measured ones.

Largest 8 diffraction maxima, low angle first, 2θ from 15° to 90°:
Position (°2θ)  I (rel.)
26.26  62
30.41  92
37.48  100
43.55  51
46.34  19
58.78  27
67.62  59
83.94  22

Crystal structure
abc: 8.313 8.313 8.313
angles: 60.00 60.00 60.00
Sites, in units of the cell vectors:
Ca (0.000, 0.000, 0.000)
In (0.200, 0.600, 0.600)
In (0.600, 0.200, 0.600)
In (0.600, 0.600, 0.200)
In (0.600, 0.600, 0.600)
Hg (0.344, 0.344, 0.344)
Hg (0.344, 0.344, 0.967)
Hg (0.344, 0.967, 0.344)
Hg (0.437, 0.854, 0.854)
Hg (0.854, 0.437, 0.854)
Hg (0.854, 0.854, 0.437)
Hg (0.854, 0.854, 0.854)
Hg (0.967, 0.344, 0.344)


# 3
Diffraction record for TlCd2C2O6. The PXRD pattern is simulated, not measured: it uses a crystal structure in Alexandria, relaxed with PBE and Cu Ka.
Peak positions follow from Bragg's law for the DFT cell and can differ from measured ones.

Largest 8 diffraction maxima, low angle first, 2θ from 15° to 90°:
Position (°2θ)  I (rel.)
17.25  70
21.27  98
26.70  45
29.57  67
31.84  100
32.13  41
34.16  79
47.99  42

Crystal structure
abc: 5.699 5.699 6.214
angles: 111.63 111.63 69.78
Sites, in units of the cell vectors:
Tl (0.000, 0.000, 0.000)
Cd (0.227, 0.773, 0.500)
Cd (0.773, 0.227, 0.500)
C (0.330, 0.330, 0.732)
C (0.670, 0.670, 0.268)
O (0.095, 0.444, 0.746)
O (0.444, 0.095, 0.746)
O (0.461, 0.461, 0.701)
O (0.539, 0.539, 0.299)
O (0.556, 0.905, 0.254)
O (0.905, 0.556, 0.254)


# 4
Diffraction record for K2Bi2Cl7. The PXRD pattern is simulated, not measured: it uses a crystal structure in Alexandria, relaxed with PBE and Cu Ka.
Peak positions follow from Bragg's law for the DFT cell and can differ from measured ones.

Largest 8 diffraction maxima, low angle first, 2θ from 15° to 90°:
Position (°2θ)  I (rel.)
16.31  30
16.90  30
17.90  32
18.74  100
21.13  25
26.39  27
30.01  37
34.18  51

Crystal structure
abc: 7.915 7.915 7.394
angles: 91.63 91.63 102.37
Sites, in units of the cell vectors:
K (0.205, 0.795, 0.000)
K (0.795, 0.205, 0.000)
Bi (0.228, 0.228, 0.583)
Bi (0.772, 0.772, 0.417)
Cl (0.073, 0.073, 0.268)
Cl (0.085, 0.445, 0.770)
Cl (0.445, 0.085, 0.770)
Cl (0.500, 0.500, 0.500)
Cl (0.555, 0.915, 0.230)
Cl (0.915, 0.555, 0.230)
Cl (0.927, 0.927, 0.732)


# 5
Diffraction record for Tb2Al4GePt3. The PXRD pattern is simulated, not measured: it uses a crystal structure in Alexandria, relaxed with PBE and Cu Ka.
Peak positions follow from Bragg's law for the DFT cell and can differ from measured ones.

Largest 8 diffraction maxima, low angle first, 2θ from 15° to 90°:
Position (°2θ)  I (rel.)
27.06  50
30.90  56
33.34  86
34.41  100
42.42  72
48.76  40
54.99  42
66.58  31

Crystal structure
abc: 4.262 4.262 10.389
angles: 90.00 90.00 90.00
Sites, in units of the cell vectors:
Tb (0.000, 0.500, 0.250)
Tb (0.500, 0.000, 0.750)
Al (0.000, 0.000, 0.000)
Al (0.000, 0.500, 0.637)
Al (0.500, 0.000, 0.363)
Al (0.500, 0.500, 0.000)
Ge (0.000, 0.000, 0.500)
Pt (0.000, 0.500, 0.870)
Pt (0.500, 0.000, 0.130)
Pt (0.500, 0.500, 0.500)


# 6
Diffraction record for ZrB4H16. The PXRD pattern is simulated, not measured: it uses a crystal structure in Alexandria, relaxed with PBE and Cu Ka.
Peak positions follow from Bragg's law for the DFT cell and can differ from measured ones.

Largest 8 diffraction maxima, low angle first, 2θ from 15° to 90°:
Position (°2θ)  I (rel.)
15.01  100
21.28  77
26.14  34
33.95  35
37.31  33
43.35  17
46.13  26
58.50  18

Crystal structure
abc: 5.904 5.904 5.904
angles: 90.00 90.00 90.00
Sites, in units of the cell vectors:
Zr (0.000, 0.000, 0.000)
B (0.226, 0.226, 0.774)
B (0.226, 0.774, 0.226)
B (0.774, 0.226, 0.226)
B (0.774, 0.774, 0.774)
H (0.019, 0.257, 0.743)
H (0.019, 0.743, 0.257)
H (0.257, 0.019, 0.743)
H (0.257, 0.257, 0.981)
H (0.257, 0.743, 0.019)
H (0.257, 0.981, 0.257)
H (0.343, 0.343, 0.657)
H (0.343, 0.657, 0.343)
H (0.657, 0.343, 0.343)
H (0.657, 0.657, 0.657)
H (0.743, 0.019, 0.257)
H (0.743, 0.257, 0.019)
H (0.743, 0.743, 0.981)
H (0.743, 0.981, 0.743)
H (0.981, 0.257, 0.257)
H (0.981, 0.743, 0.743)


Copy entry 6 word for word.
Diffraction record for ZrB4H16. The PXRD pattern is simulated, not measured: it uses a crystal structure in Alexandria, relaxed with PBE and Cu Ka.
Peak positions follow from Bragg's law for the DFT cell and can differ from measured ones.

Largest 8 diffraction maxima, low angle first, 2θ from 15° to 90°:
Position (°2θ)  I (rel.)
15.01  100
21.28  77
26.14  34
33.95  35
37.31  33
43.35  17
46.13  26
58.50  18

Crystal structure
abc: 5.904 5.904 5.904
angles: 90.00 90.00 90.00
Sites, in units of the cell vectors:
Zr (0.000, 0.000, 0.000)
B (0.226, 0.226, 0.774)
B (0.226, 0.774, 0.226)
B (0.774, 0.226, 0.226)
B (0.774, 0.774, 0.774)
H (0.019, 0.257, 0.743)
H (0.019, 0.743, 0.257)
H (0.257, 0.019, 0.743)
H (0.257, 0.257, 0.981)
H (0.257, 0.743, 0.019)
H (0.257, 0.981, 0.257)
H (0.343, 0.343, 0.657)
H (0.343, 0.657, 0.343)
H (0.657, 0.343, 0.343)
H (0.657, 0.657, 0.657)
H (0.743, 0.019, 0.257)
H (0.743, 0.257, 0.019)
H (0.743, 0.743, 0.981)
H (0.743, 0.981, 0.743)
H (0.981, 0.257, 0.257)
H (0.981, 0.743, 0.743)